Record 1
Theoretical powder diffractogram
Compound: Na3CaMg3AlF14
Radiation: Cu Kα, 1.54184 Å
Structure: a DFT-relaxed cell (GGA-PBE, Alexandria)

Largest 8 diffraction maxima, in order of rising 2θ, 2θ from 5° to 70°:
30.0°, I = 30; 30.2°, I = 100; 38.1°, I = 20; 38.2°, I = 30; 45.9°, I = 18; 50.1°, I = 62; 50.3°, I = 53; 59.7°, I = 38

Crystal structure
```
22
Lattice="3.6272 2.0942 5.9556 -3.6272 2.0942 5.9556 0.0000 -4.1883 5.9556" Properties=species:S:1:pos:R:3 pbc="T T T"
Na -1.8136 -1.0471 5.9556
Na -1.8136 1.0471 11.9112
Na 0.0000 2.0942 5.9556
Ca 0.0000 0.0000 8.9334
Mg -3.6272 0.0000 8.9334
Mg -1.8136 1.0471 2.9778
Mg 1.8136 1.0471 2.9778
Al 0.0000 0.0000 0.0000
F 0.0000 -2.6785 4.9205
F -2.3197 1.3393 4.9205
F -2.1406 -1.2359 8.4419
F -2.3197 -1.3393 12.9463
F 0.0000 -2.4718 9.4249
F -2.1406 1.2359 9.4249
F 0.0000 0.0000 6.7171
F 0.0000 0.0000 11.1497
F 2.1406 -1.2359 8.4419
F 0.0000 2.4718 8.4419
F 2.3197 1.3393 4.9205
F 2.1406 1.2359 9.4249
F 2.3197 -1.3393 12.9463
F 0.0000 2.6785 12.9463
```

Record 2
Theoretical powder diffractogram
Compound: Ac3Cd8In
Radiation: Cu Kα, 1.54184 Å
Structure: a DFT-relaxed cell (GGA-PBE, Alexandria)

Largest 8 diffraction maxima, in order of rising 2θ, 2θ from 5° to 70°:
28.9°, I = 60; 34.0°, I = 100; 34.1°, I = 35; 35.5°, I = 26; 51.1°, I = 19; 54.5°, I = 35; 59.7°, I = 19; 59.9°, I = 17

Crystal structure
```
12
Lattice="3.0970 1.7880 10.0683 -3.0970 1.7880 10.0683 0.0000 -3.5761 10.0683" Properties=species:S:1:pos:R:3 pbc="T T T"
Ac 0.0000 0.0000 0.0000
Ac 0.0000 0.0000 3.8301
Ac 0.0000 0.0000 15.4057
Cd 0.0000 -1.7869 7.0284
Cd -1.5475 0.8934 7.0284
Cd -1.5400 -0.8891 12.0579
Cd 0.0000 0.0000 9.5459
Cd 1.5400 -0.8891 12.0579
Cd 0.0000 1.7782 12.0579
Cd 1.5475 0.8934 7.0283
Cd 0.0000 0.0000 24.6245
In 0.0000 0.0000 19.0632
```

Record 3
Theoretical powder diffractogram
Compound: Nd6AsRu2Cl3
Radiation: Cu Kα, 1.54184 Å
Structure: a DFT-relaxed cell (GGA-PBE, Alexandria)

Largest 8 diffraction maxima, in order of rising 2θ, 2θ from 5° to 70°:
12.0°, I = 29; 25.9°, I = 19; 29.5°, I = 100; 37.8°, I = 10; 41.1°, I = 31; 43.4°, I = 36; 52.0°, I = 11; 53.4°, I = 18

Crystal structure
```
12
Lattice="3.6117 -6.2575 0.0000 3.6117 6.2575 0.0000 -2.4200 0.0000 7.3742" Properties=species:S:1:pos:R:3 pbc="T T T"
Nd -0.0692 2.2022 5.8301
Nd 1.0636 0.0000 1.5409
Nd -0.0692 -2.2022 5.8301
Nd 4.8725 2.2022 1.5441
Nd 3.7397 0.0000 5.8333
Nd 4.8725 -2.2022 1.5441
As 3.6117 0.0000 0.0000
Ru 3.6117 4.1666 0.0000
Ru 3.6117 -4.1666 0.0000
Cl -1.2100 0.0000 3.6871
Cl 2.4016 2.0421 3.6871
Cl 2.4016 -2.0421 3.6871
```